The following is a calculated PXRD pattern of CeHo7Er2. It was derived from a cell relaxed with GGA-PBE, using copper Kα.
Neutral-atom scattering factors, no anomalous dispersion.

Main lines, low angle first (10 to 90 degrees two-theta):
- hkl 0 0 1, 5.432 Å, intensity 44.8
- hkl 0 4 1, 3.276 Å, intensity 21.8
- hkl 2 4 0, 2.983 Å, intensity 40.9
- hkl 0 0 2, 2.716 Å, intensity 45.5
- hkl 1 5 1, 2.675 Å, intensity 100.0
- hkl 3 1 1, 2.523 Å, intensity 54.3
- hkl 2 6 0, 2.315 Å, intensity 19.9
- hkl 2 4 2, 2.008 Å, intensity 26.7
- hkl 1 5 3, 1.560 Å, intensity 19.6
- hkl 5 5 1, 1.477 Å, intensity 25.3

Structural model:
```
data_CeHo7Er2
_cell_length_a 8.679
_cell_length_b 16.431
_cell_length_c 5.432
_cell_angle_alpha 90.00
_cell_angle_beta 90.00
_cell_angle_gamma 90.00
_space_group_name_H-M_alt 'C m m m'
_space_group_IT_number 65
_space_group_name_Hall '-C 2 2'
loop_
_atom_site_label
_atom_site_type_symbol
_atom_site_fract_x
_atom_site_fract_y
_atom_site_fract_z
Ce1 Ce 0.000 0.000 0.000
Ho1 Ho 0.000 0.206 0.000
Ho2 Ho 0.000 0.500 0.500
Ho3 Ho 0.177 0.112 0.500
Er1 Er 0.000 0.297 0.500
```